Diffraction record for TlPO3. The powder diffractogram is calculated, not measured: it uses a DFT-relaxed cell (PBE, the Materials Project) and a wavelength of 1.5418 Å.

Principal peaks in the range 2θ from 15° to 90°, low angle first:
| 2θ/deg | d [Å] | I/Imax |
| --- | --- | --- |
| 22.82 | 3.897 | 74.2 |
| 26.13 | 3.411 | 53.6 |
| 26.75 | 3.333 | 31.7 |
| 27.75 | 3.215 | 100.0 |
| 32.49 | 2.756 | 57.1 |
| 34.96 | 2.567 | 39.8 |
| 35.49 | 2.529 | 44.1 |
| 36.22 | 2.480 | 41.1 |
| 48.89 | 1.863 | 29.7 |
| 55.12 | 1.666 | 31.3 |

Structural model:
abc: 7.7938 7.7938 11.3795
angles: 90.00 90.00 90.00
Space group P-42_1c (No. 114)
One atom of each set of equivalent atoms:
Tl (0.0000, 0.0000, 0.1667) x4
Tl (0.0000, 0.5000, 0.2203) x4
P (0.1531, 0.2168, 0.4680) x8
O (0.0538, 0.8029, 0.4482) x8
O (0.1252, 0.3063, 0.0380) x8
O (0.1971, 0.7725, 0.6535) x8